Record 1
Calculated X-ray diffraction stick pattern of Pm2Dy5Th5 for Cu Kα (weighted mean of Kα1 and Kα2), from DFT lattice parameters and positions (PBE).
Intensities are scaled so that the largest is 100.

Peak list (6 most intense, 2θ = 10–90°, most intense first)
2θ (°)	I/Imax
30.62	100
35.51	51
60.71	29
51.11	24
83.32	15
60.82	15

Atomic structure:
```
Pm2Dy5Th5
1.0
7.5889 -2.5247 0.0000
7.5889 2.5247 0.0000
-5.0771 0.0000 10.1227
Pm Dy Th
2 5 5
Direct
0.0836 0.0836 0.2492
0.9164 0.9164 0.7508
0.3325 0.3325 0.4955
0.4146 0.4146 0.2517
0.5000 0.5000 0.0000
0.5854 0.5854 0.7483
0.6675 0.6675 0.5045
0.0000 0.0000 0.5000
0.1700 0.1700 0.0015
0.2483 0.2483 0.7528
0.7517 0.7517 0.2472
0.8300 0.8300 0.9985
```

Record 2
Calculated X-ray diffraction stick pattern of Pm3Dy4Th for Cu Kα (weighted mean of Kα1 and Kα2), from DFT lattice parameters and positions (PBE).
Intensities are scaled so that the largest is 100.

Peak list (6 most intense, 2θ = 10–90°, most intense first)
2θ (°)	I/Imax
30.32	100
40.83	90
26.69	69
30.17	50
40.72	45
64.06	36

Atomic structure:
```
Pm3Dy4Th
1.0
5.9236 -6.6797 0.0000
5.9236 6.6797 0.0000
0.0000 0.0000 3.3984
Pm Dy Th
3 4 1
Direct
0.0000 0.0000 0.0000
0.0000 0.5000 0.5000
0.5000 0.0000 0.5000
0.2513 0.7487 0.0000
0.2578 0.2578 0.5000
0.7422 0.7422 0.5000
0.7487 0.2513 0.0000
0.5000 0.5000 0.0000
```

Record 3
Calculated X-ray diffraction stick pattern of Pm4Dy2Th for Cu Kα (weighted mean of Kα1 and Kα2), from DFT lattice parameters and positions (PBE).
Intensities are scaled so that the largest is 100.

Peak list (6 most intense, 2θ = 10–90°, most intense first)
2θ (°)	I/Imax
32.00	100
32.71	90
30.47	52
60.01	46
28.48	39
50.36	39

Atomic structure:
```
Pm4Dy2Th
1.0
3.1380 -1.8122 0.0000
3.1380 1.8122 0.0000
-2.1259 0.0000 20.5394
Pm Dy Th
4 2 1
Direct
0.0000 0.0000 0.0000
0.4286 0.4286 0.2839
0.5182 0.5182 0.5653
0.9058 0.9058 0.7135
0.7177 0.7177 0.1424
0.8096 0.8096 0.4252
0.6187 0.6187 0.8561
```